Record 1
The following is a calculated XRD peak list of Na6Bi2B4AsO16. It was derived from a GGA-PBE-relaxed structure, using a wavelength of 1.5418 Å.

The 10 most intense peaks (2θ = 10–90°), by intensity:
Position (°2θ)  intensity
20.24  100.0
34.88  56.9
21.15  53.5
31.96  51.7
10.53  40.7
41.15  40.3
54.63  26.7
48.03  26.5
55.02  21.6
24.47  20.3

Atomic structure:
a = 10.2880 Å, b = 10.2880 Å, c = 10.2880 Å
α = 60.00°, β = 60.00°, γ = 60.00°
Atoms (fractional coordinates):
Na (0.0796, 0.0796, 0.6704)
Na (0.0796, 0.6704, 0.0796)
Na (0.0796, 0.6704, 0.6704)
Na (0.3296, 0.3296, 0.9204)
Na (0.3296, 0.9204, 0.3296)
Na (0.3296, 0.9204, 0.9204)
Na (0.6704, 0.0796, 0.0796)
Na (0.6704, 0.0796, 0.6704)
Na (0.6704, 0.6704, 0.0796)
Na (0.9204, 0.3296, 0.3296)
Na (0.9204, 0.3296, 0.9204)
Na (0.9204, 0.9204, 0.3296)
Bi (0.0000, 0.5000, 0.5000)
Bi (0.5000, 0.0000, 0.5000)
Bi (0.5000, 0.5000, 0.0000)
Bi (0.5000, 0.5000, 0.5000)
B (0.2810, 0.2810, 0.2810)
B (0.2810, 0.2810, 0.6569)
B (0.2810, 0.6569, 0.2810)
B (0.3431, 0.7190, 0.7190)
B (0.6569, 0.2810, 0.2810)
B (0.7190, 0.3431, 0.7190)
B (0.7190, 0.7190, 0.3431)
B (0.7190, 0.7190, 0.7190)
As (0.1250, 0.1250, 0.1250)
As (0.8750, 0.8750, 0.8750)
O (0.0565, 0.0565, 0.0565)
O (0.0565, 0.0565, 0.3305)
O (0.0565, 0.3305, 0.0565)
O (0.1384, 0.2942, 0.4075)
O (0.1384, 0.4075, 0.6598)
O (0.1384, 0.6598, 0.2942)
O (0.2942, 0.1384, 0.6598)
O (0.2942, 0.4075, 0.1384)
O (0.2942, 0.6598, 0.4075)
O (0.3305, 0.0565, 0.0565)
O (0.3402, 0.5925, 0.7058)
O (0.3402, 0.7058, 0.8616)
O (0.3402, 0.8616, 0.5925)
O (0.4075, 0.1384, 0.2942)
O (0.4075, 0.2942, 0.6598)
O (0.4075, 0.6598, 0.1384)
O (0.5925, 0.3402, 0.8616)
O (0.5925, 0.7058, 0.3402)
O (0.5925, 0.8616, 0.7058)
O (0.6598, 0.1384, 0.4075)
O (0.6598, 0.2942, 0.1384)
O (0.6598, 0.4075, 0.2942)
O (0.6695, 0.9435, 0.9435)
O (0.7058, 0.3402, 0.5925)
O (0.7058, 0.5925, 0.8616)
O (0.7058, 0.8616, 0.3402)
O (0.8616, 0.3402, 0.7058)
O (0.8616, 0.5925, 0.3402)
O (0.8616, 0.7058, 0.5925)
O (0.9435, 0.6695, 0.9435)
O (0.9435, 0.9435, 0.6695)
O (0.9435, 0.9435, 0.9435)

***

Record 2
The following is a calculated XRD peak list of B2AsCl2. It was derived from a GGA-PBE-relaxed structure, using a wavelength of 1.5418 Å.

The 10 most intense peaks (2θ = 10–90°), by intensity:
Position (°2θ)  intensity
28.62  100.0
27.83  90.8
14.05  82.3
13.71  66.9
28.33  51.2
28.14  48.3
27.61  44.2
16.19  41.7
16.38  39.6
24.01  36.3

Atomic structure:
a = 7.3973 Å, b = 7.6647 Å, c = 11.4580 Å
α = 99.41°, β = 100.30°, γ = 117.12°
Atoms (fractional coordinates):
B (0.0600, 0.4069, 0.2857)
B (0.0980, 0.7703, 0.8592)
B (0.1057, 0.2318, 0.3488)
B (0.1570, 0.2756, 0.2095)
B (0.8430, 0.7244, 0.7905)
B (0.8943, 0.7682, 0.6512)
B (0.9020, 0.2297, 0.1408)
B (0.9400, 0.5931, 0.7143)
As (0.0831, 0.0304, 0.8141)
As (0.2244, 0.8388, 0.7042)
As (0.7756, 0.1612, 0.2958)
As (0.9169, 0.9696, 0.1859)
Cl (0.1564, 0.6701, 0.3437)
Cl (0.2214, 0.7582, 0.0011)
Cl (0.2578, 0.2473, 0.4903)
Cl (0.3870, 0.3563, 0.1600)
Cl (0.6130, 0.6437, 0.8400)
Cl (0.7422, 0.7527, 0.5097)
Cl (0.7786, 0.2418, 0.9989)
Cl (0.8436, 0.3299, 0.6563)

***

Record 3
The following is a calculated XRD peak list of Cs3BAsP. It was derived from a GGA-PBE-relaxed structure, using a wavelength of 1.5418 Å.

The 10 most intense peaks (2θ = 10–90°), by intensity:
Position (°2θ)  intensity
28.03  100.0
26.00  83.5
31.08  72.3
21.47  38.3
25.44  30.1
25.30  27.6
29.70  25.0
28.51  22.5
43.73  18.7
46.96  18.4

Atomic structure:
a = 7.0870 Å, b = 7.0870 Å, c = 10.0769 Å
α = 104.32°, β = 104.32°, γ = 89.18°
Atoms (fractional coordinates):
Cs (0.0528, 0.9472, 0.5000)
Cs (0.1390, 0.4496, 0.7695)
Cs (0.4496, 0.1390, 0.2695)
Cs (0.5362, 0.6417, 0.5393)
Cs (0.6417, 0.5362, 0.0393)
Cs (0.9472, 0.0528, 0.0000)
B (0.0815, 0.5019, 0.2706)
B (0.5019, 0.0815, 0.7706)
As (0.1916, 0.6372, 0.1648)
As (0.6372, 0.1916, 0.6648)
P (0.3765, 0.9761, 0.8682)
P (0.9761, 0.3765, 0.3682)

***

Record 4
The following is a calculated XRD peak list of Na2SnBAsO7. It was derived from a GGA-PBE-relaxed structure, using a wavelength of 1.5418 Å.

The 10 most intense peaks (2θ = 10–90°), by intensity:
Position (°2θ)  intensity
24.11  100.0
15.80  87.5
25.64  70.1
25.33  48.4
32.45  48.2
27.34  47.7
18.99  41.3
18.19  40.3
31.62  40.0
35.78  37.4

Atomic structure:
a = 5.5251 Å, b = 6.9474 Å, c = 9.5155 Å
α = 90.00°, β = 92.81°, γ = 90.00°
Atoms (fractional coordinates):
Na (0.2350, 0.0167, 0.3222)
Na (0.2350, 0.4834, 0.3222)
Na (0.7650, 0.5167, 0.6778)
Na (0.7650, 0.9834, 0.6778)
Sn (0.2244, 0.7500, 0.8379)
Sn (0.7756, 0.2500, 0.1621)
B (0.2775, 0.7500, 0.5735)
B (0.7225, 0.2500, 0.4265)
As (0.2717, 0.2500, 0.9318)
As (0.7283, 0.7500, 0.0682)
O (0.0502, 0.7500, 0.6397)
O (0.1347, 0.2500, 0.0913)
O (0.1914, 0.0551, 0.8299)
O (0.1914, 0.4449, 0.8299)
O (0.3100, 0.7500, 0.4371)
O (0.4147, 0.7500, 0.0320)
O (0.4703, 0.7500, 0.6826)
O (0.5297, 0.2500, 0.3174)
O (0.5853, 0.2500, 0.9680)
O (0.6900, 0.2500, 0.5629)
O (0.8086, 0.5551, 0.1701)
O (0.8086, 0.9449, 0.1701)
O (0.8653, 0.7500, 0.9087)
O (0.9498, 0.2500, 0.3603)